For Cs3Si2N4, DFT lattice parameters and positions (PBE) gives the calculated powder X-ray diffraction pattern in this record (a wavelength of 1.5418 Å).

Peak list (10 most intense, 2θ from 15° to 90°, in order of rising 2θ)
two_theta  I_rel
20.1  19.2
27.1  76.7
29.6  100.0
30.5  16.0
31.0  36.1
36.7  27.9
37.2  14.3
48.8  31.4
54.3  17.8
54.5  18.2

```
data_Cs3Si2N4
_space_group_name_H-M_alt 'P 1'
_space_group_IT_number 1
_space_group_name_Hall 'P 1'
_cell_length_a 9.3303
_cell_length_b 9.3303
_cell_length_c 9.3303
_cell_angle_alpha 144.02
_cell_angle_beta 65.66
_cell_angle_gamma 127.08
loop_
_atom_site_label
_atom_site_type_symbol
_atom_site_fract_x
_atom_site_fract_y
_atom_site_fract_z
Cs1 Cs 0.1457 0.3957 0.7500
Cs2 Cs 0.1964 0.0768 0.1196
Cs3 Cs 0.4571 0.0768 0.3804
Cs4 Cs 0.5429 0.9232 0.6196
Cs5 Cs 0.8036 0.9232 0.8804
Cs6 Cs 0.8543 0.6043 0.2500
Si1 Si 0.1129 0.6402 0.4726
Si2 Si 0.3324 0.3598 0.9726
Si3 Si 0.6676 0.6402 0.0274
Si4 Si 0.8871 0.3598 0.5274
N1 N 0.1301 0.5525 0.5776
N2 N 0.1996 0.0000 0.6996
N3 N 0.1996 0.5000 0.1996
N4 N 0.4749 0.5525 0.9224
N5 N 0.5251 0.4475 0.0776
N6 N 0.8004 0.0000 0.3004
N7 N 0.8004 0.5000 0.8004
N8 N 0.8699 0.4475 0.4224
```